Theoretical powder XRD pattern of CdH8C4N2Cl2 for λ = 1.5418 Å (Cu Kα), from DFT lattice parameters and positions (GGA-PBE).
No peak broadening, texture or thermal motion is included.

Structure:
a b c (Å): 9.6425 13.4942 6.8143
angles (deg): 90.00 91.45 90.00
Space group C2/c (No. 15)
Symmetry-distinct sites (fractional):
Cd 0.0000 0.0587 0.2500 (multiplicity 4)
H 0.0011 0.2665 0.5304 (multiplicity 8)
H 0.0994 0.3226 0.3419 (multiplicity 8)
H 0.1713 0.4041 0.6413 (multiplicity 8)
H 0.1870 0.2912 0.7743 (multiplicity 8)
C 0.1065 0.2741 0.4740 (multiplicity 8)
C 0.2013 0.3261 0.6281 (multiplicity 8)
N 0.1525 0.1795 0.4053 (multiplicity 8)
Cl 0.1581 0.0764 0.9317 (multiplicity 8)

Top 10 peaks for 15 to 90 degrees two-theta, most intense first:
| two_theta | I/Imax | (hkl) |
| --- | --- | --- |
| 25.59 | 1000 | 1 3 1 |
| 35.23 | 863 | 2 4 1 |
| 37.09 | 735 | 3 3 1 |
| 28.35 | 662 | 1 1 -2 |
| 18.51 | 584 | 0 2 1 |
| 26.46 | 533 | 2 2 1 |
| 31.78 | 491 | 2 0 -2 |
| 17.06 | 460 | 1 1 -1 |
| 34.51 | 441 | 2 2 -2 |
| 22.67 | 330 | 2 2 0 |